[1]
Simulated powder XRD pattern of SrMg6Cu6 for Cu Kα, 1.54184 Å, from a structure optimized by DFT (PBE).
Neutral-atom scattering factors, no anomalous dispersion.

```
data_SrMg6Cu6
_cell_length_a 5.299
_cell_length_b 9.285
_cell_length_c 9.338
_cell_angle_alpha 90.00
_cell_angle_beta 90.00
_cell_angle_gamma 90.00
_space_group_name_H-M_alt 'I m m m'
_space_group_IT_number 71
_space_group_name_Hall '-I 2 2'
loop_
_atom_site_label
_atom_site_fract_x
_atom_site_fract_y
_atom_site_fract_z
Sr1 0.000 0.000 0.000
Mg1 0.000 0.000 0.349
Mg2 0.000 0.340 0.000
Mg3 0.000 0.500 0.303
Cu1 0.000 0.267 0.500
Cu2 0.250 0.250 0.250
```

Peak list (10 most intense, 2θ from 5° to 70°, by angle)
19.12 deg, I 43, (0 2 0)
27.09 deg, I 14, (0 2 2)
27.26 deg, I 36, (1 2 1)
38.57 deg, I 34, (0 0 4)
38.79 deg, I 100, (0 4 0)
39.11 deg, I 81, (2 0 2)
43.39 deg, I 24, (0 2 4)
43.86 deg, I 54, (2 2 2)
55.85 deg, I 18, (0 4 4)
56.25 deg, I 25, (2 4 2)

[2]
Simulated powder XRD pattern of SrMgZnCu2 for Cu Kα, 1.54184 Å, from a structure optimized by DFT (PBE).
Neutral-atom scattering factors, no anomalous dispersion.

```
data_SrMgZnCu2
_cell_length_a 3.974
_cell_length_b 4.399
_cell_length_c 11.807
_cell_angle_alpha 90.00
_cell_angle_beta 90.00
_cell_angle_gamma 90.00
_space_group_name_H-M_alt 'I m m 2'
_space_group_IT_number 44
loop_
_space_group_symop_operation_xyz
'x,y,z'
'-x,-y,z'
'-x,y,z'
'x,-y,z'
'x+1/2,y+1/2,z+1/2'
'-x+1/2,-y+1/2,z+1/2'
'-x+1/2,y+1/2,z+1/2'
'x+1/2,-y+1/2,z+1/2'
loop_
_atom_site_label
_atom_site_fract_x
_atom_site_fract_y
_atom_site_fract_z
Sr1 0.000 0.000 0.000
Mg1 0.000 0.500 0.758
Zn1 0.000 0.000 0.620
Cu1 0.000 0.000 0.403
Cu2 0.000 0.500 0.267
```

Peak list (10 most intense, 2θ from 5° to 70°, by angle)
30.31 deg, I 29, (1 1 0)
30.48 deg, I 31, (0 1 3)
32.01 deg, I 39, (1 0 3)
33.98 deg, I 100, (1 1 2)
41.04 deg, I 35, (0 2 0)
43.37 deg, I 23, (1 1 4)
43.50 deg, I 33, (0 1 5)
44.64 deg, I 22, (1 0 5)
45.66 deg, I 25, (2 0 0)
63.03 deg, I 24, (2 2 0)

[3]
Simulated powder XRD pattern of SrMg6ZnCu for Cu Kα, 1.54184 Å, from a structure optimized by DFT (PBE).
Neutral-atom scattering factors, no anomalous dispersion.

```
data_SrMg6ZnCu
_cell_length_a 7.507
_cell_length_b 9.681
_cell_length_c 12.462
_cell_angle_alpha 90.00
_cell_angle_beta 90.00
_cell_angle_gamma 90.00
_space_group_name_H-M_alt 'I m m a'
_space_group_IT_number 74
_space_group_name_Hall '-I 2b 2'
loop_
_atom_site_label
_atom_site_fract_x
_atom_site_fract_y
_atom_site_fract_z
Sr1 0.000 0.250 0.190
Mg1 0.000 0.250 0.488
Mg2 0.000 0.250 0.912
Mg3 0.205 0.017 0.623
Zn1 0.250 0.250 0.750
Cu1 0.000 0.000 0.000
```

Peak list (10 most intense, 2θ from 5° to 70°, by angle)
13.77 deg, I 52, (1 0 1)
23.27 deg, I 76, (0 2 2)
26.45 deg, I 85, (2 1 1)
30.76 deg, I 100, (1 2 3)
32.46 deg, I 31, (1 1 4)
33.48 deg, I 33, (2 1 3)
37.15 deg, I 55, (0 4 0)
37.47 deg, I 31, (2 3 1)
42.07 deg, I 68, (2 2 4)
62.65 deg, I 25, (4 4 0)

[4]
Simulated powder XRD pattern of MgTaCu for Cu Kα, 1.54184 Å, from a structure optimized by DFT (PBE).
Neutral-atom scattering factors, no anomalous dispersion.

```
data_MgTaCu
_cell_length_a 4.638
_cell_length_b 2.941
_cell_length_c 7.635
_cell_angle_alpha 90.00
_cell_angle_beta 103.50
_cell_angle_gamma 90.00
_space_group_name_H-M_alt 'P 1 21/m 1'
_space_group_IT_number 11
loop_
_space_group_symop_operation_xyz
'x,y,z'
'-x,-y,-z'
'-x,y+1/2,-z'
'x,-y+1/2,z'
loop_
_atom_site_label
_atom_site_fract_x
_atom_site_fract_y
_atom_site_fract_z
Mg1 0.132 0.250 0.182
Ta1 0.270 0.750 0.552
Cu1 0.386 0.250 0.867
```

Peak list (10 most intense, 2θ from 5° to 70°, by angle)
11.92 deg, I 100, (0 0 1)
20.52 deg, I 16, (1 0 -1)
23.97 deg, I 23, (0 0 2)
36.30 deg, I 19, (0 0 3)
36.48 deg, I 15, (1 1 0)
36.95 deg, I 28, (1 1 -1)
38.94 deg, I 32, (2 0 -1)
39.08 deg, I 24, (0 1 2)
40.00 deg, I 70, (1 1 1)
41.32 deg, I 46, (1 1 -2)

[5]
Simulated powder XRD pattern of MgTaCu for Cu Kα, 1.54184 Å, from a structure optimized by DFT (PBE).
Neutral-atom scattering factors, no anomalous dispersion.

```
data_MgTaCu
_cell_length_a 5.726
_cell_length_b 4.196
_cell_length_c 8.257
_cell_angle_alpha 90.00
_cell_angle_beta 90.00
_cell_angle_gamma 90.00
_space_group_name_H-M_alt 'P n m a'
_space_group_IT_number 62
loop_
_space_group_symop_operation_xyz
'x,y,z'
'-x,-y,-z'
'-x+1/2,-y,z+1/2'
'x+1/2,y,-z+1/2'
'x+1/2,-y+1/2,-z+1/2'
'-x+1/2,y+1/2,z+1/2'
'-x,y+1/2,-z'
'x,-y+1/2,z'
loop_
_atom_site_label
_atom_site_fract_x
_atom_site_fract_y
_atom_site_fract_z
Mg1 0.059 0.250 0.210
Ta1 0.144 0.250 0.562
Cu1 0.185 0.250 0.888
```

Peak list (10 most intense, 2θ from 5° to 70°, by angle)
18.86 deg, I 55, (1 0 1)
21.52 deg, I 49, (0 0 2)
23.79 deg, I 44, (0 1 1)
28.50 deg, I 45, (1 1 1)
38.05 deg, I 100, (2 1 0)
39.14 deg, I 93, (0 1 3)
43.12 deg, I 45, (0 2 0)
44.13 deg, I 31, (2 1 2)
45.73 deg, I 47, (2 0 3)
64.66 deg, I 33, (2 2 3)

[6]
Simulated powder XRD pattern of TbMg3Cu for Cu Kα, 1.54184 Å, from a structure optimized by DFT (PBE).
Neutral-atom scattering factors, no anomalous dispersion.

```
data_TbMg3Cu
_cell_length_a 8.318
_cell_length_b 12.223
_cell_length_c 4.337
_cell_angle_alpha 90.00
_cell_angle_beta 90.00
_cell_angle_gamma 90.00
_space_group_name_H-M_alt 'C m m m'
_space_group_IT_number 65
_space_group_name_Hall '-C 2 2'
loop_
_atom_site_label
_atom_site_fract_x
_atom_site_fract_y
_atom_site_fract_z
Tb1 0.000 0.208 0.000
Mg1 0.000 0.000 0.500
Mg2 0.000 0.500 0.000
Mg3 0.195 0.371 0.500
Cu1 0.186 0.000 0.000
```

Peak list (10 most intense, 2θ from 5° to 70°, by angle)
12.87 deg, I 43, (1 1 0)
20.48 deg, I 73, (0 0 1)
24.29 deg, I 36, (1 3 0)
25.91 deg, I 67, (2 2 0)
29.76 deg, I 43, (2 0 1)
32.00 deg, I 50, (1 3 1)
33.25 deg, I 100, (2 2 1)
35.95 deg, I 45, (0 4 1)
39.29 deg, I 52, (3 3 0)
44.72 deg, I 36, (3 3 1)